Starting from a cell relaxed with GGA+U, the XRD peak list of Li6FeNiP2C2O14 was calculated for copper Kα.
Intensities are scaled so that the largest is 100.

Cell and atoms:
```
Li6FeNiP2C2O14
1.0
4.976 0.000 0.000
0.000 6.495 0.000
-0.825 0.000 8.431
Li Fe Ni P C O
6 1 1 2 2 14
direct
0.000 0.000 0.000
0.044 0.269 0.621
0.044 0.731 0.621
0.522 0.233 0.168
0.522 0.767 0.168
0.571 0.500 0.790
0.568 0.000 0.559
0.991 0.500 0.228
0.057 0.000 0.306
0.513 0.500 0.481
0.096 0.500 0.938
0.471 0.000 0.859
0.165 0.500 0.794
0.197 0.500 0.458
0.280 0.500 0.059
0.285 0.000 0.739
0.373 0.000 0.324
0.403 0.000 0.003
0.618 0.315 0.587
0.618 0.685 0.587
0.619 0.500 0.316
0.721 0.000 0.829
0.846 0.500 0.968
0.950 0.187 0.204
0.950 0.813 0.204
0.960 0.000 0.474
```

Most intense lines, 5 to 70 degrees two-theta, by angle:
| (hkl) | 2theta | d_spacing | I/Imax |
| --- | --- | --- | --- |
| 0 0 1 | 10.5 | 8.431 | 87 |
| 0 1 1 | 17.2 | 5.145 | 28 |
| 1 0 -1 | 19.9 | 4.465 | 36 |
| 1 0 1 | 21.7 | 4.099 | 55 |
| 1 0 -2 | 26.4 | 3.377 | 34 |
| 0 2 0 | 27.5 | 3.248 | 100 |
| 2 0 -1 | 36.8 | 2.441 | 30 |
| 1 1 3 | 40.9 | 2.208 | 25 |
| 0 2 4 | 51.7 | 1.768 | 19 |
| 3 0 -2 | 58.0 | 1.591 | 20 |